# 1
Starting from a crystal structure in Alexandria, relaxed with PBE, the PXRD pattern of NpGaC was computed for Cu Kα (weighted mean of Kα1 and Kα2).

Largest 12 diffraction maxima, by intensity, 5° ≤ 2θ ≤ 70°:
Position (°2θ)	I_rel	hkl
33.22	100	0 1 5
30.39	67	1 0 4
25.03	63	1 0 1
43.38	61	1 1 0
60.50	34	1 1 9
51.72	24	1 0 10
55.71	24	2 0 5
40.04	19	0 0 9
53.88	14	0 2 4
69.73	10	0 2 10
50.74	10	0 2 1
51.49	9	1 1 6

Structural model:
Cell lengths 4.1720, 4.1720, 20.2668 Å; angles 90.00, 90.00, 120.00 degrees
Space group R-3m (No. 166, hexagonal axes)
Asymmetric unit:
Np  0.0000  0.0000  0.1032 [6 per cell]
Ga  0.0000  0.0000  0.3202 [6 per cell]
C  0.0000  0.0000  0.2144 [6 per cell]

# 2
Starting from a crystal structure in Alexandria, relaxed with PBE, the PXRD pattern of GaCO4 was computed for Cu Kα (weighted mean of Kα1 and Kα2).

Largest 12 diffraction maxima, by intensity, 5° ≤ 2θ ≤ 70°:
Position (°2θ)	I_rel	hkl
21.88	100	1 1 0
36.45	93	1 1 2
23.75	49	0 2 0
47.70	44	2 0 2
40.65	40	1 3 0
53.96	29	2 2 2
50.57	28	1 3 2
37.20	24	2 0 0
48.60	20	0 4 0
28.79	19	0 0 2
26.22	18	1 1 1
65.12	16	0 2 4

Structural model:
Cell lengths 4.8342, 7.4939, 6.2029 Å; angles 90.00, 90.00, 90.00 degrees
Space group Cmcm (No. 63)
Asymmetric unit:
Ga  0.0000  0.0000  0.0000 [4 per cell]
C  0.0000  0.3548  0.2500 [4 per cell]
O  0.0000  0.2596  0.0598 [8 per cell]
O  0.2391  0.4635  0.2500 [8 per cell]

# 3
Starting from a crystal structure in Alexandria, relaxed with PBE, the PXRD pattern of Sm6Ga2CO was computed for Cu Kα (weighted mean of Kα1 and Kα2).

Largest 12 diffraction maxima, by intensity, 5° ≤ 2θ ≤ 70°:
Position (°2θ)	I_rel	hkl
31.48	100	1 1 2
36.50	56	2 0 0
62.58	42	3 1 2
52.58	39	2 2 0
65.70	13	2 2 4
18.02	10	0 0 2
40.99	5	1 0 4
25.59	4	1 0 2
56.04	2	0 0 6
45.11	2	1 1 4
68.75	1	2 0 6
59.35	1	1 0 6

Structural model:
Cell lengths 4.9202, 4.9202, 9.8572 Å; angles 90.00, 90.00, 90.00 degrees
Space group P4/mmm (No. 123)
Asymmetric unit:
Sm  0.0000  0.0000  0.2486 [2 per cell]
Sm  0.0000  0.5000  0.0000 [2 per cell]
Sm  0.0000  0.5000  0.5000 [2 per cell]
Ga  0.5000  0.5000  0.2567 [2 per cell]
C  0.0000  0.0000  0.0000 [1 per cell]
O  0.0000  0.0000  0.5000 [1 per cell]

# 4
Starting from a crystal structure in Alexandria, relaxed with PBE, the PXRD pattern of Tb2Ga2Os2C was computed for Cu Kα (weighted mean of Kα1 and Kα2).

Largest 12 diffraction maxima, by intensity, 5° ≤ 2θ ≤ 70°:
Position (°2θ)	I_rel	hkl
34.87	100	1 1 -2
33.15	84	3 1 -1
37.87	43	3 1 0
32.24	37	2 0 1
45.04	37	0 2 0
40.26	35	4 0 -3
15.60	24	0 0 1
61.99	20	4 2 -3
57.41	14	6 0 -4
63.85	14	7 1 -3
60.33	13	1 1 3
33.68	13	4 0 -1

Structural model:
Cell lengths 10.9905, 4.0247, 7.0696 Å; angles 90.00, 126.55, 90.00 degrees
Space group C2/m (No. 12)
Asymmetric unit:
Tb  0.0659  0.0000  0.2906 [4 per cell]
Ga  0.1443  0.5000  0.6785 [4 per cell]
Os  0.1992  0.5000  0.0841 [4 per cell]
C  0.0000  0.5000  0.0000 [2 per cell]

# 5
Starting from a crystal structure in Alexandria, relaxed with PBE, the PXRD pattern of Pa6GaC was computed for Cu Kα (weighted mean of Kα1 and Kα2).

Largest 12 diffraction maxima, by intensity, 5° ≤ 2θ ≤ 70°:
Position (°2θ)	I_rel	hkl
34.97	100	1 1 1
35.93	84	-1 1 2
34.04	78	1 1 -2
32.62	75	0 1 -2
32.29	75	1 -2 0
33.02	67	2 0 -1
40.96	56	2 -1 1
32.03	49	0 2 0
24.25	39	-1 1 1
34.41	32	2 0 0
27.00	32	1 -1 1
38.66	28	1 2 -1

Structural model:
Cell lengths 5.6099, 5.8266, 5.9844 Å; angles 97.52, 106.16, 101.82 degrees
Space group P-1 (No. 2)
Asymmetric unit:
Pa  0.1166  0.2434  0.1525 [2 per cell]
Pa  0.2528  0.7933  0.4571 [2 per cell]
Pa  0.2768  0.3599  0.7573 [2 per cell]
Ga  0.5000  0.0000  0.0000 [1 per cell]
C  0.5000  0.5000  0.5000 [1 per cell]

# 6
Starting from a crystal structure in Alexandria, relaxed with PBE, the PXRD pattern of Pa6Ga3C was computed for Cu Kα (weighted mean of Kα1 and Kα2).

Largest 12 diffraction maxima, by intensity, 5° ≤ 2θ ≤ 70°:
Position (°2θ)	I_rel	hkl
35.82	100	0 3 3
30.10	30	3 0 0
27.29	25	1 0 4
36.98	23	2 1 4
53.45	23	3 3 0
66.02	16	6 0 3
38.49	12	0 0 6
67.77	12	3 3 6
20.93	12	0 2 1
49.61	10	3 0 6
59.37	9	1 3 7
69.55	6	4 3 4

Structural model:
Cell lengths 10.2860, 10.2860, 14.0350 Å; angles 90.00, 90.00, 120.00 degrees
Space group R-3m (No. 166, hexagonal axes)
Asymmetric unit:
Pa  0.1076  0.5538  0.0708 [18 per cell]
Pa  0.1098  0.2197  0.1094 [18 per cell]
Ga  0.0625  0.5313  0.4091 [18 per cell]
C  0.0000  0.0000  0.0000 [3 per cell]
C  0.0000  0.0000  0.5000 [3 per cell]

# 7
Starting from a crystal structure in Alexandria, relaxed with PBE, the PXRD pattern of YGaPb2C was computed for Cu Kα (weighted mean of Kα1 and Kα2).

Largest 12 diffraction maxima, by intensity, 5° ≤ 2θ ≤ 70°:
Position (°2θ)	I_rel	hkl
28.91	100	1 1 1
15.85	75	0 0 1
34.22	58	2 0 0
47.56	46	2 0 2
37.92	38	2 0 1
32.01	34	0 0 2
58.06	29	3 1 1
59.89	23	2 2 2
16.92	23	1 0 0
24.02	21	1 1 0
49.18	21	2 2 0
55.15	17	1 1 3

Structural model:
Cell lengths 5.2400, 5.2400, 5.5926 Å; angles 90.00, 90.00, 90.00 degrees
Space group P4/mmm (No. 123)
Asymmetric unit:
Y  0.0000  0.0000  0.0000 [1 per cell]
Ga  0.0000  0.0000  0.5000 [1 per cell]
Pb  0.0000  0.5000  0.5000 [2 per cell]
C  0.5000  0.5000  0.0000 [1 per cell]

# 8
Starting from a crystal structure in Alexandria, relaxed with PBE, the PXRD pattern of Pr3GaC was computed for Cu Kα (weighted mean of Kα1 and Kα2).

Largest 12 diffraction maxima, by intensity, 5° ≤ 2θ ≤ 70°:
Position (°2θ)	I_rel	hkl
30.25	100	1 1 1
35.07	55	2 0 0
59.95	43	3 1 1
50.44	39	2 2 0
62.92	13	2 2 2
17.33	8	1 0 0
39.37	4	2 1 0
24.60	3	1 1 0
53.74	2	3 0 0
43.31	2	2 1 1
68.62	1	3 2 1
65.80	1	3 2 0

Structural model:
Cell lengths 5.1172, 5.1172, 5.1172 Å; angles 90.00, 90.00, 90.00 degrees
Space group Pm-3m (No. 221)
Asymmetric unit:
Pr  0.0000  0.0000  0.5000 [3 per cell]
Ga  0.5000  0.5000  0.5000 [1 per cell]
C  0.0000  0.0000  0.0000 [1 per cell]